Diffraction record for LiNi2O4. The X-ray diffraction stick pattern is simulated, not measured: it uses a DFT-relaxed cell (GGA+U, the Materials Project) and Cu Kα X-rays.
No peak broadening, texture or thermal motion is included.

The 8 most intense peaks (10° ≤ 2θ ≤ 80°), sorted by position:
| h k l | two_theta | I_rel |
| --- | --- | --- |
| 0 0 1 | 18.80 | 55 |
| 0 1 -1 | 18.96 | 100 |
| 1 -1 0 | 19.17 | 45 |
| 1 1 0 | 36.26 | 18 |
| 1 1 -2 | 36.45 | 24 |
| 0 2 0 | 44.05 | 36 |
| 2 0 -2 | 44.48 | 35 |
| 2 -2 2 | 45.69 | 32 |

Structure:
```
LiNi2O4
1.0
5.642 0.000 0.000
-2.710 4.997 0.000
-0.146 -3.259 4.720
Li Ni O
2 4 8
Cartesian
-0.054 -0.030 1.743
2.840 1.768 2.976
-1.355 2.499 0.000
2.821 0.000 0.000
2.748 -1.630 2.360
1.466 2.499 0.000
-1.245 3.980 1.148
0.058 1.778 1.013
-0.092 0.024 3.738
1.471 -2.307 3.645
1.315 4.045 1.075
2.879 1.714 0.982
2.729 -0.040 3.707
4.032 -2.242 3.571
```